Diffraction record for Co3CuBr9. The PXRD pattern is simulated, not measured: it uses DFT lattice parameters and positions (PBE) and Cu Ka.
Lines closer than 0.1° are merged.

Largest 12 diffraction maxima, sorted by position, 2θ = 15–90°:
d 5.801, 15.27 deg, I 84.4
d 5.611, 15.79 deg, I 24.7
d 4.576, 19.40 deg, I 23.0
d 3.921, 22.68 deg, I 31.5
d 3.441, 25.90 deg, I 21.8
d 3.313, 26.91 deg, I 39.3
d 3.251, 27.43 deg, I 43.1
d 3.214, 27.76 deg, I 100.0
d 3.112, 28.68 deg, I 35.2
d 2.971, 30.08 deg, I 28.0
d 2.827, 31.65 deg, I 27.6
d 1.864, 48.85 deg, I 24.8

Atomic structure:
```
data_Co3CuBr9
_chemical_formula_sum 'Co12 Cu4 Br36'
_cell_length_a 15.7211
_cell_length_b 11.0909
_cell_length_c 13.1628
_cell_angle_alpha 90.00
_cell_angle_beta 123.21
_cell_angle_gamma 90.00
_symmetry_space_group_name_H-M 'C 1 c 1'
_symmetry_Int_Tables_number 9
_symmetry_space_group_name_Hall 'C -2yc'
loop_
_atom_site_label
_atom_site_type_symbol
_atom_site_fract_x
_atom_site_fract_y
_atom_site_fract_z
Co1 Co 0.0000 0.0453 0.0000
Co2 Co 0.2789 0.3543 0.7150
Co3 Co 0.3832 0.1578 0.5391
Cu1 Cu 0.1717 0.1112 0.8487
Br1 Br 0.0270 0.0014 0.6887
Br2 Br 0.0449 0.3565 0.2022
Br3 Br 0.1406 0.1352 0.0117
Br4 Br 0.1699 0.3159 0.7813
Br5 Br 0.2321 0.4834 0.0913
Br6 Br 0.2657 0.1775 0.6004
Br7 Br 0.3346 0.0198 0.9204
Br8 Br 0.3561 0.3222 0.4040
Br9 Br 0.4518 0.3601 0.8862
```